(1)
This entry pairs a crystal structure of TlSb3 with its computed X-ray diffraction stick pattern. Radiation: Cu Kα (weighted mean of Kα1 and Kα2). Structure: DFT lattice parameters and positions (GGA-PBE).
Neutral-atom scattering factors, no anomalous dispersion.

Peak list (10 most intense, 10° ≤ 2θ ≤ 90°, by intensity)
two_theta	I_rel
33.45	100
26.46	59
41.53	33
26.35	29
42.91	24
65.02	17
41.74	16
54.47	16
47.65	13
65.17	9

```
TlSb3
1.0
7.5444 0.0000 0.0000
0.0000 7.6346 0.0000
0.0000 0.0000 8.6569
Tl Sb
4 12
Direct
0.0751 0.2500 0.1027
0.4249 0.7500 0.6027
0.5751 0.2500 0.3973
0.9249 0.7500 0.8973
0.0843 0.2500 0.6244
0.2274 0.0063 0.3701
0.2274 0.4937 0.3701
0.2726 0.5063 0.8701
0.2726 0.9937 0.8701
0.4157 0.7500 0.1244
0.5843 0.2500 0.8756
0.7274 0.0063 0.1299
0.7274 0.4937 0.1299
0.7726 0.5063 0.6299
0.7726 0.9937 0.6299
0.9157 0.7500 0.3756
```

=====

(2)
This entry pairs a crystal structure of Pm4Ru with its computed X-ray diffraction stick pattern. Radiation: Cu Kα (weighted mean of Kα1 and Kα2). Structure: DFT lattice parameters and positions (GGA-PBE).
Neutral-atom scattering factors, no anomalous dispersion.

Peak list (10 most intense, 10° ≤ 2θ ≤ 90°, by intensity)
two_theta	I_rel
30.43	100
29.97	58
38.94	35
27.45	30
47.22	28
50.42	24
76.78	21
57.76	18
55.49	17
56.66	15

```
Pm4Ru
1.0
0.0000 6.7098 3.7800
6.4987 0.0000 3.7800
6.4987 6.7098 0.0000
Pm Ru
8 2
Direct
0.2026 0.2998 0.9575
0.2144 0.7856 0.4486
0.2925 0.7099 0.0474
0.2998 0.2026 0.5401
0.6986 0.8014 0.4644
0.7099 0.2925 0.9502
0.7856 0.2144 0.5514
0.8014 0.6986 0.0356
0.2411 0.2411 0.2589
0.9911 0.9911 0.0089
```

=====

(3)
This entry pairs a crystal structure of PrHo14Pu with its computed X-ray diffraction stick pattern. Radiation: Cu Kα (weighted mean of Kα1 and Kα2). Structure: DFT lattice parameters and positions (GGA-PBE).
Neutral-atom scattering factors, no anomalous dispersion.

Peak list (10 most intense, 10° ≤ 2θ ≤ 90°, by intensity)
two_theta	I_rel
31.06	100
35.96	34
61.60	29
51.89	24
36.13	17
61.84	14
64.75	12
51.76	12
84.78	12
84.57	6

```
PrHo14Pu
1.0
7.0647 0.0000 0.0000
0.0000 7.0647 0.0000
0.0000 0.0000 9.9434
Pr Ho Pu
1 14 1
Direct
0.0000 0.0000 0.0000
0.0000 0.0000 0.5000
0.0000 0.5000 0.0000
0.0000 0.5000 0.5000
0.2526 0.2526 0.2501
0.2526 0.2526 0.7499
0.2526 0.7474 0.2501
0.2526 0.7474 0.7499
0.5000 0.0000 0.0000
0.5000 0.0000 0.5000
0.5000 0.5000 0.5000
0.7474 0.2526 0.2501
0.7474 0.2526 0.7499
0.7474 0.7474 0.2501
0.7474 0.7474 0.7499
0.5000 0.5000 0.0000
```

=====

(4)
This entry pairs a crystal structure of Tb5Sm3In with its computed X-ray diffraction stick pattern. Radiation: Cu Kα (weighted mean of Kα1 and Kα2). Structure: DFT lattice parameters and positions (GGA-PBE).
Neutral-atom scattering factors, no anomalous dispersion.

Peak list (10 most intense, 10° ≤ 2θ ≤ 90°, by intensity)
two_theta	I_rel
30.88	100
35.27	78
32.53	72
32.28	72
39.43	54
39.23	50
15.30	50
25.03	42
28.42	40
28.21	30

```
Tb5Sm3In
1.0
4.9353 -5.7915 0.0000
4.9353 5.7915 0.0000
-0.1021 0.0000 11.3312
Tb Sm In
10 6 2
Direct
0.0144 0.0144 0.2389
0.1255 0.6199 0.3643
0.1783 0.1783 0.9996
0.2456 0.7544 0.0000
0.3801 0.8745 0.6357
0.6199 0.1255 0.3643
0.7544 0.2456 0.0000
0.8217 0.8217 0.0004
0.8745 0.3801 0.6357
0.9856 0.9856 0.7611
0.1657 0.1657 0.4875
0.3277 0.3277 0.7503
0.5000 0.5000 0.0000
0.5000 0.5000 0.5000
0.6723 0.6723 0.2497
0.8343 0.8343 0.5125
0.3413 0.3413 0.2391
0.6587 0.6587 0.7609
```

=====

(5)
This entry pairs a crystal structure of Th2Al5Zn3 with its computed X-ray diffraction stick pattern. Radiation: Cu Kα (weighted mean of Kα1 and Kα2). Structure: DFT lattice parameters and positions (GGA-PBE).
Neutral-atom scattering factors, no anomalous dispersion.

Peak list (10 most intense, 10° ≤ 2θ ≤ 90°, by intensity)
two_theta	I_rel
32.54	100
22.44	71
33.99	58
34.17	58
42.45	51
47.12	47
16.39	42
29.56	25
29.77	25
54.37	24

```
Th2Al5Zn3
1.0
-5.4078 6.0430 3.0013
5.4078 -6.0430 3.0013
5.4078 6.0430 -3.0013
Th Al Zn
4 10 6
Direct
0.1272 0.2473 0.3745
0.3728 0.7473 0.1200
0.6272 0.2527 0.8800
0.8728 0.7527 0.6255
0.0073 0.7500 0.2573
0.1234 0.8652 0.9886
0.2500 0.7500 0.5000
0.3766 0.3652 0.7419
0.4927 0.7500 0.7427
0.5073 0.2500 0.2573
0.6234 0.6348 0.2581
0.7500 0.2500 0.5000
0.8766 0.1348 0.0114
0.9927 0.2500 0.7427
0.1215 0.6385 0.7600
0.2500 0.2500 0.0000
0.3785 0.1385 0.5170
0.6215 0.8615 0.4830
0.7500 0.7500 0.0000
0.8785 0.3615 0.2400
```

=====

(6)
This entry pairs a crystal structure of Na5ZnBi2 with its computed X-ray diffraction stick pattern. Radiation: Cu Kα (weighted mean of Kα1 and Kα2). Structure: DFT lattice parameters and positions (GGA-PBE).
Neutral-atom scattering factors, no anomalous dispersion.

Peak list (10 most intense, 10° ≤ 2θ ≤ 90°, by intensity)
two_theta	I_rel
19.27	100
32.73	76
37.40	49
23.21	47
18.72	42
37.68	31
18.17	31
61.52	24
50.53	22
50.07	22

```
Na5ZnBi2
1.0
5.4728 0.0000 0.0000
-2.7364 4.7396 0.0000
0.0000 0.0000 19.5320
Na Zn Bi
10 2 4
Direct
0.0000 0.0000 0.1485
0.0000 0.0000 0.3515
0.0000 0.0000 0.6485
0.0000 0.0000 0.8515
0.3333 0.6667 0.0555
0.3333 0.6667 0.2500
0.3333 0.6667 0.4445
0.6667 0.3333 0.5555
0.6667 0.3333 0.7500
0.6667 0.3333 0.9445
0.3333 0.6667 0.7500
0.6667 0.3333 0.2500
0.3333 0.6667 0.6137
0.3333 0.6667 0.8863
0.6667 0.3333 0.1137
0.6667 0.3333 0.3863
```

=====

(7)
This entry pairs a crystal structure of CuAu2 with its computed X-ray diffraction stick pattern. Radiation: Cu Kα (weighted mean of Kα1 and Kα2). Structure: DFT lattice parameters and positions (GGA-PBE).
Neutral-atom scattering factors, no anomalous dispersion.

Peak list (10 most intense, 10° ≤ 2θ ≤ 90°, by intensity)
two_theta	I_rel
38.70	100
41.37	63
23.53	23
57.93	22
36.30	20
78.18	20
41.18	18
73.66	15
70.31	15
62.98	8

```
CuAu2
1.0
7.5610 0.0000 0.0000
-3.7805 6.5480 0.0000
0.0000 0.0000 2.9518
Cu Au
3 6
Direct
0.0000 0.0000 0.0000
0.3333 0.6667 0.5000
0.6667 0.3333 0.5000
0.0000 0.2954 0.5000
0.0000 0.6289 0.0000
0.2954 0.0000 0.5000
0.3711 0.3711 0.0000
0.6289 0.0000 0.0000
0.7046 0.7046 0.5000
```

=====

(8)
This entry pairs a crystal structure of Tl2Cd3In2Hg4 with its computed X-ray diffraction stick pattern. Radiation: Cu Kα (weighted mean of Kα1 and Kα2). Structure: DFT lattice parameters and positions (GGA-PBE).
Neutral-atom scattering factors, no anomalous dispersion.

Peak list (10 most intense, 10° ≤ 2θ ≤ 90°, by intensity)
two_theta	I_rel
33.35	100
35.47	80
49.47	33
62.34	33
58.19	18
81.03	15
63.69	15
84.66	15
20.26	14
70.04	11

```
Tl2Cd3In2Hg4
1.0
5.0615 0.0000 0.0000
-2.5308 4.3834 0.0000
0.0000 0.0000 13.6037
Tl Cd In Hg
2 3 2 4
Direct
0.3333 0.6667 0.0765
0.6667 0.3333 0.9235
0.0000 0.0000 0.2431
0.0000 0.0000 0.5000
0.0000 0.0000 0.7569
0.3333 0.6667 0.5833
0.6667 0.3333 0.4167
0.3333 0.6667 0.3331
0.3333 0.6667 0.8288
0.6667 0.3333 0.1712
0.6667 0.3333 0.6669
```

=====

(9)
This entry pairs a crystal structure of MnCuS with its computed X-ray diffraction stick pattern. Radiation: Cu Kα (weighted mean of Kα1 and Kα2). Structure: DFT lattice parameters and positions (GGA-PBE).
Neutral-atom scattering factors, no anomalous dispersion.

Peak list (10 most intense, 10° ≤ 2θ ≤ 90°, by intensity)
two_theta	I_rel
42.51	100
44.68	92
41.12	84
13.65	83
41.32	81
49.15	69
37.29	59
66.90	52
67.00	48
47.12	44

```
MnCuS
1.0
2.7979 0.0000 0.0000
1.3982 2.4236 0.0000
0.8068 1.0440 12.9728
Mn Cu S
2 2 2
Direct
0.1821 0.2679 0.2648
0.8179 0.7321 0.7352
0.1625 0.1344 0.5761
0.8375 0.8656 0.4239
0.4764 0.3512 0.8457
0.5236 0.6488 0.1543
```

=====

(10)
This entry pairs a crystal structure of NdSmHoEr2 with its computed X-ray diffraction stick pattern. Radiation: Cu Kα (weighted mean of Kα1 and Kα2). Structure: DFT lattice parameters and positions (GGA-PBE).
Neutral-atom scattering factors, no anomalous dispersion.

Peak list (10 most intense, 10° ≤ 2θ ≤ 90°, by intensity)
two_theta	I_rel
32.88	100
45.90	49
31.15	47
29.37	47
35.95	43
26.30	39
39.91	33
28.16	24
15.43	17
66.14	15

```
NdSmHoEr2
1.0
4.1959 -5.7431 0.0000
4.1959 5.7431 0.0000
0.0000 0.0000 7.1702
Nd Sm Ho Er
2 2 2 4
Direct
0.2286 0.7714 0.7500
0.7714 0.2286 0.2500
0.5003 0.4997 0.2500
0.4997 0.5003 0.7500
0.2209 0.7791 0.2500
0.7791 0.2209 0.7500
0.1874 0.1874 0.0000
0.1874 0.1874 0.5000
0.8126 0.8126 0.0000
0.8126 0.8126 0.5000
```

=====

(11)
This entry pairs a crystal structure of GePbCl with its computed X-ray diffraction stick pattern. Radiation: Cu Kα (weighted mean of Kα1 and Kα2). Structure: DFT lattice parameters and positions (GGA-PBE).
Neutral-atom scattering factors, no anomalous dispersion.

Peak list (10 most intense, 10° ≤ 2θ ≤ 90°, by intensity)
two_theta	I_rel
35.81	100
30.90	86
28.31	82
21.49	36
42.65	34
23.09	33
21.94	30
40.81	26
36.48	26
43.29	26

```
GePbCl
1.0
12.4068 0.0000 0.0000
0.0000 3.4225 0.0000
0.0000 0.0000 8.1037
Ge Pb Cl
4 4 4
Direct
0.0000 0.0000 0.0000
0.0000 0.5000 0.5000
0.5000 0.0000 0.1780
0.5000 0.5000 0.6780
0.3527 0.0000 0.8830
0.3527 0.5000 0.3830
0.6473 0.0000 0.8830
0.6473 0.5000 0.3830
0.1443 0.0000 0.1877
0.1443 0.5000 0.6877
0.8557 0.0000 0.1877
0.8557 0.5000 0.6877
```

=====

(12)
This entry pairs a crystal structure of PuTl2BiO6 with its computed X-ray diffraction stick pattern. Radiation: Cu Kα (weighted mean of Kα1 and Kα2). Structure: DFT lattice parameters and positions (GGA-PBE).
Neutral-atom scattering factors, no anomalous dispersion.

Peak list (10 most intense, 10° ≤ 2θ ≤ 90°, by intensity)
two_theta	I_rel
28.74	100
50.91	43
41.09	26
82.08	23
67.41	19
59.51	17
74.87	6
89.16	3
20.21	1
17.48	1

```
PuTl2BiO6
1.0
6.2127 0.0000 0.0000
0.0000 8.7869 0.0000
0.0000 0.0000 6.2131
Pu Tl Bi O
2 4 2 12
Direct
0.2500 0.2500 0.2496
0.7500 0.7500 0.7504
0.2500 0.0000 0.7501
0.2500 0.5000 0.7501
0.7500 0.0000 0.2499
0.7500 0.5000 0.2499
0.2500 0.7500 0.2502
0.7500 0.2500 0.7498
0.0188 0.2500 0.0184
0.0188 0.2500 0.4808
0.2500 0.0188 0.2495
0.2500 0.4812 0.2495
0.4812 0.2500 0.0184
0.4812 0.2500 0.4808
0.5188 0.7500 0.5192
0.5188 0.7500 0.9816
0.7500 0.5188 0.7505
0.7500 0.9812 0.7505
0.9812 0.7500 0.5192
0.9812 0.7500 0.9816
```